Diffraction record for Na3Zn9Pd2. The X-ray powder pattern is calculated, not measured: it uses a structure optimized by DFT (GGA-PBE) and Cu Kα X-rays.

Largest 10 diffraction maxima, most intense first, 2θ from 10° to 90°:
d (Å), Rel. int., hkl
2.527, 100, 1 2 3
1.990, 88, 1 2 5
2.314, 83, 1 3 2
4.562, 82, 0 2 0
2.137, 79, 2 0 0
1.967, 72, 1 3 4
2.214, 63, 1 0 5
3.899, 46, 0 1 3
7.457, 42, 0 1 1
2.157, 34, 0 0 6

Crystal structure
Lattice parameters (Å, degrees): 4.274 9.124 12.939 90.00 90.00 90.00
Space group Immm (No. 71)
Unique sites:
1 Na 0.000 0.000 0.000 (multiplicity 2)
2 Na 0.000 0.000 0.304 (multiplicity 4)
3 Zn 0.000 0.281 0.124 (multiplicity 8)
4 Zn 0.000 0.356 0.328 (multiplicity 8)
5 Zn 0.000 0.500 0.000 (multiplicity 2)
6 Pd 0.000 0.190 0.500 (multiplicity 4)



Diffraction record for Th2Co3. The X-ray powder pattern is calculated, not measured: it uses a structure optimized by DFT (GGA-PBE) and Cu Kα X-rays.

Largest 10 diffraction maxima, most intense first, 2θ from 10° to 90°:
d (Å), Rel. int., hkl
2.645, 100, 1 3 1
2.589, 55, 1 7 0
3.356, 52, 0 4 1
1.945, 28, 2 0 0
2.425, 26, 1 5 1
3.035, 26, 0 8 0
1.590, 26, 1 7 2
2.013, 24, 0 0 2
2.079, 20, 0 10 1
1.683, 16, 2 4 1

Crystal structure
Lattice parameters (Å, degrees): 3.892 24.283 4.027 90.00 90.00 90.00
Space group Cmcm (No. 63)
Unique sites:
1 Th 0.000 0.069 0.250 (multiplicity 4)
2 Th 0.000 0.200 0.750 (multiplicity 4)
3 Co 0.000 0.323 0.750 (multiplicity 4)
4 Co 0.000 0.381 0.250 (multiplicity 4)
5 Co 0.000 0.476 0.250 (multiplicity 4)



Diffraction record for LaPr4H8. The X-ray powder pattern is calculated, not measured: it uses a structure optimized by DFT (GGA-PBE) and Cu Kα X-rays.

Largest 10 diffraction maxima, most intense first, 2θ from 10° to 90°:
d (Å), Rel. int., hkl
2.962, 100, 2 0 0
2.094, 80, 2 2 0
3.420, 75, 1 1 1
1.786, 36, 3 1 1
1.324, 35, 4 2 0
1.710, 27, 2 2 2
1.209, 26, 4 2 2
5.923, 21, 1 0 0
4.188, 19, 1 1 0
1.359, 14, 3 3 1

Crystal structure
Lattice parameters (Å, degrees): 5.923 5.923 5.923 90.00 90.00 90.00
Space group Pm-3m (No. 221)
Unique sites:
1 La 0.000 0.000 0.000 (multiplicity 1)
2 Pr 0.000 0.000 0.500 (multiplicity 3)
3 Pr 0.500 0.500 0.500 (multiplicity 1)
4 H 0.245 0.245 0.245 (multiplicity 8)



Diffraction record for Pm2HoCu9. The X-ray powder pattern is calculated, not measured: it uses a structure optimized by DFT (GGA-PBE) and Cu Kα X-rays.

Largest 10 diffraction maxima, most intense first, 2θ from 10° to 90°:
d (Å), Rel. int., hkl
2.207, 100, 1 1 6
2.588, 75, 1 1 0
2.817, 41, 1 0 7
2.232, 34, 0 2 1
1.408, 34, 2 0 14
2.050, 23, 2 0 5
1.494, 21, 3 0 0
1.294, 19, 2 2 0
2.113, 19, 0 0 12
1.534, 13, 2 1 7

Crystal structure
Lattice parameters (Å, degrees): 5.1748 5.1748 25.3570 90.00 90.00 120.00
Space group R-3m (No. 166, hexagonal axes)
Unique sites:
1 Pm 0.0000 0.0000 0.1404 (multiplicity 6)
2 Ho 0.0000 0.0000 0.0000 (multiplicity 3)
3 Cu 0.0000 0.0000 0.3321 (multiplicity 6)
4 Cu 0.0000 0.0000 0.5000 (multiplicity 3)
5 Cu 0.0021 0.5010 0.0801 (multiplicity 18)



Diffraction record for La2NdSbN4. The X-ray powder pattern is calculated, not measured: it uses a structure optimized by DFT (GGA-PBE) and Cu Kα X-rays.

Largest 10 diffraction maxima, most intense first, 2θ from 10° to 90°:
d (Å), Rel. int., hkl
3.112, 100, 1 1 2
2.520, 84, 1 3 2
3.036, 48, 0 4 0
3.155, 47, 0 0 4
2.188, 27, 0 4 4
3.458, 23, 0 2 3
1.939, 23, 1 5 2
2.686, 20, 1 3 1
1.872, 20, 2 0 0
1.610, 19, 2 0 4

Crystal structure
Lattice parameters (Å, degrees): 3.743 12.145 12.622 90.00 90.00 90.00
Space group Cmcm (No. 63)
Unique sites:
1 La 0.000 0.130 0.037 (multiplicity 8)
2 Nd 0.000 0.391 0.250 (multiplicity 4)
3 Sb 0.000 0.344 0.750 (multiplicity 4)
4 N 0.000 0.065 0.250 (multiplicity 4)
5 N 0.000 0.218 0.636 (multiplicity 8)
6 N 0.000 0.500 0.000 (multiplicity 4)



Diffraction record for Ac5InGe3. The X-ray powder pattern is calculated, not measured: it uses a structure optimized by DFT (GGA-PBE) and Cu Kα X-rays.

Largest 10 diffraction maxima, most intense first, 2θ from 10° to 90°:
d (Å), Rel. int., hkl
3.521, 100, 2 2 1
3.417, 79, 0 0 3
3.173, 52, 1 3 -1
2.955, 48, 3 1 -3
3.319, 29, 4 0 -1
2.050, 26, 5 3 -2
2.449, 26, 4 0 2
2.083, 26, 1 3 -4
1.694, 20, 3 5 -3
2.675, 20, 1 3 2

Crystal structure
Lattice parameters (Å, degrees): 13.296 10.131 10.609 90.00 105.05 90.00
Space group C2/m (No. 12)
Unique sites:
1 Ac 0.000 0.197 0.000 (multiplicity 4)
2 Ac 0.020 0.000 0.336 (multiplicity 4)
3 Ac 0.179 0.310 0.642 (multiplicity 8)
4 Ac 0.240 0.500 0.084 (multiplicity 4)
5 In 0.069 0.500 0.282 (multiplicity 4)
6 Ge 0.000 0.500 0.000 (multiplicity 2)
7 Ge 0.000 0.500 0.500 (multiplicity 2)
8 Ge 0.171 0.000 0.158 (multiplicity 4)
9 Ge 0.214 0.000 0.580 (multiplicity 4)



Diffraction record for Ba2IBr. The X-ray powder pattern is calculated, not measured: it uses a structure optimized by DFT (GGA-PBE) and Cu Kα X-rays.

Largest 10 diffraction maxima, most intense first, 2θ from 10° to 90°:
d (Å), Rel. int., hkl
3.215, 100, 0 1 5
2.821, 77, 1 0 7
2.236, 52, 1 1 0
3.740, 51, 0 1 2
1.637, 39, 1 1 12
2.402, 21, 0 0 12
1.835, 21, 2 0 5
1.752, 18, 0 2 7
1.419, 17, 1 2 5
1.379, 17, 2 1 7

Crystal structure
Lattice parameters (Å, degrees): 4.4717 4.4717 28.8239 90.00 90.00 120.00
Space group R3m (No. 160, hexagonal axes)
Unique sites:
1 Ba 0.0000 0.0000 0.0000 (multiplicity 3)
2 Ba 0.0000 0.0000 0.1639 (multiplicity 3)
3 I 0.0000 0.0000 0.5815 (multiplicity 3)
4 Br 0.0000 0.0000 0.4161 (multiplicity 3)



Diffraction record for Sn2BiI8. The X-ray powder pattern is calculated, not measured: it uses a structure optimized by DFT (GGA-PBE) and Cu Kα X-rays.

Largest 10 diffraction maxima, most intense first, 2θ from 10° to 90°:
d (Å), Rel. int., hkl
5.842, 100, 1 0 1
3.651, 68, 2 0 1
2.878, 56, 2 1 1
2.339, 49, 2 2 0
2.071, 46, 1 2 3
2.921, 42, 0 2 2
4.677, 40, 1 1 0
2.656, 29, 0 1 3
2.477, 24, 2 1 2
8.101, 22, 1 0 0

Crystal structure
Lattice parameters (Å, degrees): 9.3542 9.3542 8.4324 90.00 90.00 120.00
Space group P-3m1 (No. 164)
Unique sites:
1 Sn 0.3333 0.6667 0.2401 (multiplicity 2)
2 Bi 0.0000 0.0000 0.5000 (multiplicity 1)
3 I 0.1462 0.2925 0.2608 (multiplicity 6)
4 I 0.3333 0.6667 0.9109 (multiplicity 2)



Diffraction record for LiAlGe. The X-ray powder pattern is calculated, not measured: it uses a structure optimized by DFT (GGA-PBE) and Cu Kα X-rays.

Largest 10 diffraction maxima, most intense first, 2θ from 10° to 90°:
d (Å), Rel. int., hkl
3.177, 100, 1 0 1
2.217, 57, 1 1 0
2.278, 48, 1 0 2
1.818, 20, 2 0 1
1.406, 17, 2 1 1
1.693, 16, 1 0 3
1.589, 15, 2 0 2
1.291, 15, 2 1 2
1.193, 15, 1 1 4
1.745, 14, 1 1 2

Crystal structure
Lattice parameters (Å, degrees): 4.4336 4.4336 5.6597 90.00 90.00 120.00
Space group P6_3/mmc (No. 194)
Unique sites:
1 Li 0.3333 0.6667 0.2500 (multiplicity 2)
2 Al 0.0000 0.0000 0.0000 (multiplicity 2)
3 Ge 0.3333 0.6667 0.7500 (multiplicity 2)



Diffraction record for NaTm4Mg5. The X-ray powder pattern is calculated, not measured: it uses a structure optimized by DFT (GGA-PBE) and Cu Kα X-rays.

Largest 10 diffraction maxima, most intense first, 2θ from 10° to 90°:
d (Å), Rel. int., hkl
2.691, 100, 1 0 5
3.708, 57, 1 0 0
2.622, 49, 1 1 0
1.527, 35, 2 1 5
3.912, 30, 0 0 5
2.178, 26, 1 1 5
1.854, 18, 2 0 0
1.568, 16, 1 1 10
2.448, 13, 1 0 6
1.658, 12, 2 1 0

Crystal structure
Lattice parameters (Å, degrees): 3.708 3.708 19.561 90.00 90.00 90.00
Space group P4/mmm (No. 123)
Unique sites:
1 Na 0.000 0.000 0.000 (multiplicity 1)
2 Tm 0.000 0.000 0.211 (multiplicity 2)
3 Tm 0.000 0.000 0.403 (multiplicity 2)
4 Mg 0.500 0.500 0.109 (multiplicity 2)
5 Mg 0.500 0.500 0.307 (multiplicity 2)
6 Mg 0.500 0.500 0.500 (multiplicity 1)



Diffraction record for La3HoSc. The X-ray powder pattern is calculated, not measured: it uses a structure optimized by DFT (GGA-PBE) and Cu Kα X-rays.

Largest 10 diffraction maxima, most intense first, 2θ from 10° to 90°:
d (Å), Rel. int., hkl
3.033, 100, 3 1 1
3.160, 63, 1 3 2
2.786, 53, 0 2 3
2.620, 51, 3 1 2
2.821, 50, 2 4 1
2.715, 43, 1 5 1
2.970, 41, 2 4 0
1.700, 22, 5 3 2
1.846, 20, 3 1 4
1.783, 17, 2 6 3

Crystal structure
Lattice parameters (Å, degrees): 9.883 14.868 9.015 90.00 90.00 90.00
Space group Cmce (No. 64)
Unique sites:
1 La 0.000 0.037 0.183 (multiplicity 8)
2 La 0.177 0.107 0.593 (multiplicity 16)
3 Ho 0.000 0.209 0.928 (multiplicity 8)
4 Sc 0.250 0.184 0.250 (multiplicity 8)



Diffraction record for TlS2BrCl. The X-ray powder pattern is calculated, not measured: it uses a structure optimized by DFT (GGA-PBE) and Cu Kα X-rays.

Largest 10 diffraction maxima, most intense first, 2θ from 10° to 90°:
d (Å), Rel. int., hkl
3.928, 100, 1 0 1
3.419, 45, 0 0 2
3.039, 43, 1 1 1
3.393, 37, 1 1 0
1.964, 37, 2 0 2
2.048, 36, 2 1 1
2.399, 34, 2 0 0
2.408, 30, 1 1 2
2.059, 18, 1 0 3
1.520, 16, 2 2 2

Crystal structure
Lattice parameters (Å, degrees): 4.799 4.799 6.838 90.00 90.00 90.00
Space group P4/mmm (No. 123)
Unique sites:
1 Tl 0.000 0.000 0.000 (multiplicity 1)
2 S 0.000 0.500 0.500 (multiplicity 2)
3 Br 0.500 0.500 0.500 (multiplicity 1)
4 Cl 0.500 0.500 0.000 (multiplicity 1)